This entry pairs a crystal structure of BaTlVO4 with its calculated powder diffractogram. Radiation: Cu Ka. Structure: a structure optimized by DFT (GGA+U).
Kinematic intensities with the Lorentz-polarization factor, no thermal factor.

Top 10 peaks for 2θ from 15° to 90°, most intense first:
Position (°2θ)	d [Å]	I/Imax	index
29.26	3.052	100	0 1 3
28.03	3.183	71	2 1 1
29.65	3.013	65	0 2 0
20.25	4.386	43	1 1 1
50.81	1.797	40	3 1 4
27.90	3.198	40	2 0 2
24.96	3.567	37	1 1 2
41.16	2.193	35	2 2 2
26.72	3.336	31	2 1 0
34.63	2.590	31	3 0 1

Cell and atoms:
Cell lengths 8.0123, 6.0268, 10.6193 Å; angles 90.00, 90.00, 90.00 degrees
Fractional positions:
Ba: 0.0029 0.2500 0.2040
Ba: 0.4971 0.7500 0.7040
Ba: 0.5029 0.2500 0.2960
Ba: 0.9971 0.7500 0.7960
Tl: 0.1750 0.7500 0.4295
Tl: 0.3250 0.2500 0.9295
Tl: 0.6750 0.7500 0.0705
Tl: 0.8250 0.2500 0.5705
V: 0.2208 0.7500 0.0794
V: 0.2792 0.2500 0.5794
V: 0.7208 0.7500 0.4206
V: 0.7792 0.2500 0.9206
O: 0.0043 0.7500 0.0705
O: 0.2046 0.2500 0.4242
O: 0.2145 0.0075 0.6559
O: 0.2145 0.4925 0.6559
O: 0.2855 0.5075 0.1559
O: 0.2855 0.9925 0.1559
O: 0.2954 0.7500 0.9242
O: 0.4957 0.2500 0.5705
O: 0.5043 0.7500 0.4295
O: 0.7046 0.2500 0.0758
O: 0.7145 0.0075 0.8441
O: 0.7145 0.4925 0.8441
O: 0.7855 0.5075 0.3441
O: 0.7855 0.9925 0.3441
O: 0.7954 0.7500 0.5758
O: 0.9957 0.2500 0.9295